Diffraction record for ZnFe4Cu10Sn5S20. The PXRD pattern is computed, not measured: it uses a crystal structure in the Materials Project, relaxed with GGA-PBE and Cu Ka.
Kinematic intensities with the Lorentz-polarization factor, no thermal factor.

Most intense lines, 2θ from 10° to 90°, by angle:
2theta  d (Å)  intensity
28.6  3.120  100
33.0  2.716  10
47.3  1.921  20
47.7  1.905  39
56.2  1.636  28
57.0  1.616  14
69.2  1.358  6
77.1  1.237  11
88.4  1.106  12
89.3  1.097  6

Crystal structure
```
data_ZnFe4Cu10Sn5S20
_symmetry_space_group_name_H-M 'P 1'
_symmetry_Int_Tables_number 1
_cell_length_a 27.002
_cell_length_b 27.002
_cell_length_c 27.002
_cell_angle_alpha 168.45
_cell_angle_beta 168.45
_cell_angle_gamma 16.36
loop_
_symmetry_equiv_pos_as_xyz
'x,y,z'
loop_
_atom_site_label
_atom_site_type_symbol
_atom_site_fract_x
_atom_site_fract_y
_atom_site_fract_z
Zn1 Zn 0.000 0.000 0.000
Fe1 Fe 0.200 0.200 0.000
Fe2 Fe 0.400 0.400 0.000
Fe3 Fe 0.600 0.600 0.000
Fe4 Fe 0.800 0.800 0.000
Cu1 Cu 0.050 0.550 0.500
Cu2 Cu 0.150 0.650 0.500
Cu3 Cu 0.250 0.750 0.500
Cu4 Cu 0.350 0.850 0.500
Cu5 Cu 0.450 0.950 0.500
Cu6 Cu 0.550 0.050 0.500
Cu7 Cu 0.650 0.150 0.500
Cu8 Cu 0.750 0.250 0.500
Cu9 Cu 0.850 0.350 0.500
Cu10 Cu 0.950 0.450 0.500
Sn1 Sn 0.100 0.100 0.000
Sn2 Sn 0.300 0.300 0.000
Sn3 Sn 0.500 0.500 0.000
Sn4 Sn 0.700 0.700 0.000
Sn5 Sn 0.900 0.900 0.000
S1 S 0.007 0.540 0.000
S2 S 0.060 0.060 0.467
S3 S 0.140 0.607 0.000
S4 S 0.193 0.193 0.532
S5 S 0.214 0.732 0.000
S6 S 0.268 0.268 0.482
S7 S 0.340 0.807 0.000
S8 S 0.393 0.393 0.533
S9 S 0.407 0.940 0.000
S10 S 0.460 0.460 0.467
S11 S 0.540 0.007 0.000
S12 S 0.593 0.593 0.533
S13 S 0.607 0.140 0.000
S14 S 0.660 0.660 0.468
S15 S 0.732 0.214 0.000
S16 S 0.786 0.786 0.518
S17 S 0.807 0.340 0.000
S18 S 0.860 0.860 0.467
S19 S 0.940 0.407 0.000
S20 S 0.993 0.993 0.533
```

Diffraction record for Zr2Te3. The PXRD pattern is computed, not measured: it uses a crystal structure in the Materials Project, relaxed with GGA-PBE and Cu Ka.
Kinematic intensities with the Lorentz-polarization factor, no thermal factor.

Most intense lines, 2θ from 10° to 90°, by angle:
2theta  d (Å)  intensity
28.7  3.108  100
36.9  2.435  62
44.9  2.019  39
47.9  1.900  20
54.2  1.693  16
59.5  1.554  15
72.8  1.299  16
72.9  1.297  12
77.5  1.231  13
85.0  1.141  7

Crystal structure
```
data_Zr2Te3
_symmetry_space_group_name_H-M 'P 1'
_symmetry_Int_Tables_number 1
_cell_length_a 7.899
_cell_length_b 7.899
_cell_length_c 7.899
_cell_angle_alpha 52.54
_cell_angle_beta 52.54
_cell_angle_gamma 52.54
loop_
_symmetry_equiv_pos_as_xyz
'x,y,z'
loop_
_atom_site_label
_atom_site_type_symbol
_atom_site_fract_x
_atom_site_fract_y
_atom_site_fract_z
Zr1 Zr 0.000 0.000 0.000
Zr2 Zr 0.160 0.160 0.160
Zr3 Zr 0.500 0.500 0.500
Zr4 Zr 0.840 0.840 0.840
Te1 Te 0.076 0.731 0.428
Te2 Te 0.269 0.572 0.924
Te3 Te 0.428 0.076 0.731
Te4 Te 0.572 0.924 0.269
Te5 Te 0.731 0.428 0.076
Te6 Te 0.924 0.269 0.572
```

Diffraction record for Li2FeS2. The PXRD pattern is computed, not measured: it uses a crystal structure in the Materials Project, relaxed with GGA-PBE and Cu Ka.
Kinematic intensities with the Lorentz-polarization factor, no thermal factor.

Most intense lines, 2θ from 10° to 90°, by angle:
2theta  d (Å)  intensity
14.6  6.085  74
30.9  2.898  100
40.3  2.236  72
47.8  1.903  43
50.2  1.816  16
53.0  1.727  26
58.0  1.591  14
64.3  1.449  16
78.4  1.220  11
83.9  1.153  15

Crystal structure
```
data_Li2FeS2
_symmetry_space_group_name_H-M 'P 1'
_symmetry_Int_Tables_number 1
_cell_length_a 3.806
_cell_length_b 3.806
_cell_length_c 6.085
_cell_angle_alpha 90.00
_cell_angle_beta 90.00
_cell_angle_gamma 120.00
loop_
_symmetry_equiv_pos_as_xyz
'x,y,z'
loop_
_atom_site_label
_atom_site_type_symbol
_atom_site_fract_x
_atom_site_fract_y
_atom_site_fract_z
Li1 Li 0.333 0.667 0.359
Li2 Li 0.667 0.333 0.641
Fe1 Fe 0.000 0.000 0.000
S1 S 0.333 0.667 0.776
S2 S 0.667 0.333 0.224
```